# 1
Starting from a crystal structure in Alexandria, relaxed with GGA-PBE, the XRD peak list of Ga3CuBr12 was calculated for Cu Kα.

Principal peaks in the range 15 to 90 degrees two-theta, low angle first:
2θ (°)  intensity
15.0  43.4
16.9  68.3
21.9  54.5
23.4  26.6
26.4  100.0
26.7  51.5
30.5  18.3
30.9  34.5
46.6  18.9
54.0  17.4

Crystal structure
```
Ga3CuBr12
1.0
5.852 3.379 11.796
-5.852 3.379 11.796
0.000 -6.757 11.796
Ga Cu Br
6 2 24
Cartesian
-1.693 -2.957 11.796 Ga
-4.138 -0.434 17.695 Ga
-1.714 2.945 11.796 Ga
2.445 -3.367 17.695 Ga
3.407 0.012 11.796 Ga
1.693 3.801 17.695 Ga
0.000 0.000 9.787 Cu
0.000 0.000 27.482 Cu
-5.644 -1.160 19.321 Br
-1.559 -1.726 9.590 Br
-3.824 1.984 11.898 Br
0.193 -4.304 11.898 Br
-1.817 -1.289 13.423 Br
-4.114 1.876 17.397 Br
-2.028 -1.394 17.797 Br
0.432 -4.501 17.397 Br
-0.715 2.213 9.590 Br
-1.738 -1.502 23.296 Br
2.274 -0.487 9.590 Br
-0.208 2.218 13.423 Br
2.025 -0.929 13.423 Br
-2.274 -0.487 27.285 Br
-0.193 2.454 17.797 Br
2.222 -1.059 17.797 Br
3.827 -4.308 19.321 Br
-0.432 2.257 23.296 Br
3.630 2.319 11.898 Br
2.170 -0.754 23.296 Br
1.559 -1.726 27.285 Br
3.682 2.624 17.397 Br
0.715 2.213 27.285 Br
1.817 5.468 19.321 Br
```

=====

# 2
Starting from a crystal structure in Alexandria, relaxed with GGA-PBE, the XRD peak list of Ga2CuBr6 was calculated for Cu Kα.

Principal peaks in the range 15 to 90 degrees two-theta, low angle first:
2θ (°)  intensity
17.5  32.9
17.9  100.0
18.7  51.4
19.4  38.6
22.4  56.6
25.3  88.8
28.4  58.2
29.6  29.1
38.1  49.0
45.3  27.5

Crystal structure
```
Ga2CuBr6
1.0
7.266 -7.396 0.000
7.266 7.396 0.000
-4.295 0.000 6.932
Ga Cu Br
4 2 12
Cartesian
1.720 1.289 2.101 Ga
-0.427 -1.289 5.567 Ga
10.665 1.289 1.365 Ga
8.517 -1.289 4.831 Ga
4.045 2.911 5.199 Cu
6.192 -2.911 1.733 Cu
1.873 3.888 5.662 Br
-0.050 0.193 3.533 Br
2.098 -0.193 0.067 Br
3.849 1.397 3.223 Br
6.216 3.888 4.735 Br
1.701 -1.397 6.689 Br
8.536 1.397 0.242 Br
4.021 -3.888 2.197 Br
6.388 -1.397 3.708 Br
8.140 0.193 6.865 Br
10.287 -0.193 3.399 Br
8.364 -3.888 1.269 Br
```

=====

# 3
Starting from a crystal structure in Alexandria, relaxed with GGA-PBE, the XRD peak list of CuGe2Br2 was calculated for Cu Kα.

Principal peaks in the range 15 to 90 degrees two-theta, low angle first:
2θ (°)  intensity
28.8  25.5
31.3  24.4
35.8  68.9
36.0  100.0
40.5  36.6
44.4  16.1
49.4  37.0
62.4  25.6
65.1  30.1
83.6  16.5

Crystal structure
```
CuGe2Br2
1.0
-1.846 1.846 8.567
1.846 -1.846 8.567
1.846 1.846 -8.567
Cu Ge Br
1 2 2
Cartesian
0.000 0.000 0.000 Cu
1.846 0.000 4.283 Ge
0.000 1.846 4.283 Ge
0.000 0.000 6.940 Br
0.000 0.000 10.193 Br
```

=====

# 4
Starting from a crystal structure in Alexandria, relaxed with GGA-PBE, the XRD peak list of Cu2HBr6 was calculated for Cu Kα.

Principal peaks in the range 15 to 90 degrees two-theta, low angle first:
2θ (°)  intensity
17.9  63.5
19.3  25.2
23.0  39.8
23.8  100.0
29.9  45.8
32.3  27.0
35.0  27.3
47.0  47.7
49.5  23.9
51.4  21.4

Crystal structure
```
Cu2HBr6
1.0
6.015 -7.141 0.000
6.015 7.141 0.000
-0.064 0.000 6.910
Cu H Br
4 2 12
Cartesian
2.617 0.954 1.565 Cu
2.585 -0.954 5.020 Cu
9.382 0.954 1.890 Cu
9.350 -0.954 5.345 Cu
5.967 4.516 5.183 H
5.999 -4.516 1.728 H
4.570 4.488 4.192 Br
2.358 1.165 6.109 Br
2.390 -1.165 2.654 Br
7.365 4.488 6.173 Br
4.995 1.416 0.993 Br
7.004 1.416 2.462 Br
4.963 -1.416 4.448 Br
6.972 -1.416 5.917 Br
4.602 -4.488 0.737 Br
9.576 1.165 4.256 Br
9.609 -1.165 0.801 Br
7.397 -4.488 2.718 Br
```

=====

# 5
Starting from a crystal structure in Alexandria, relaxed with GGA-PBE, the XRD peak list of CuH8Br2O4 was calculated for Cu Kα.

Principal peaks in the range 15 to 90 degrees two-theta, low angle first:
2θ (°)  intensity
15.1  100.0
25.0  16.8
26.3  51.5
29.3  25.5
30.5  31.8
33.2  44.4
34.3  33.4
35.2  19.3
39.0  21.9
49.5  22.2

Crystal structure
```
CuH8Br2O4
1.0
4.250 0.000 0.000
0.000 7.132 0.000
-2.984 0.000 11.722
Cu H Br O
2 16 4 8
Cartesian
0.000 0.000 0.000 Cu
-1.492 3.566 5.861 Cu
-2.346 0.143 9.232 H
-0.853 3.423 3.371 H
0.352 4.882 2.244 H
-1.140 5.815 8.105 H
-0.892 0.155 7.538 H
0.600 3.411 1.676 H
-0.521 3.598 8.260 H
0.972 7.099 2.399 H
0.294 0.032 9.323 H
1.786 3.533 3.462 H
0.665 3.720 10.046 H
2.158 6.977 4.185 H
2.405 1.317 3.617 H
0.913 2.249 9.478 H
2.119 3.709 8.351 H
3.611 6.989 2.490 H
0.081 1.730 6.100 Br
1.573 1.835 0.239 Br
-0.308 5.296 11.483 Br
1.184 5.401 5.622 Br
-1.323 4.026 7.824 O
0.169 6.672 1.963 O
0.444 3.927 2.509 O
-1.048 6.771 8.370 O
2.313 0.361 3.352 O
0.821 3.205 9.213 O
1.097 0.460 9.759 O
2.589 3.106 3.898 O
```

=====

# 6
Starting from a crystal structure in Alexandria, relaxed with GGA-PBE, the XRD peak list of TaCuH2Br was calculated for Cu Kα.

Principal peaks in the range 15 to 90 degrees two-theta, low angle first:
2θ (°)  intensity
17.0  95.8
24.4  62.9
34.4  53.7
34.8  100.0
39.0  51.4
42.6  29.6
49.7  72.5
50.1  36.4
53.3  20.3
62.1  37.5

Crystal structure
```
TaCuH2Br
1.0
3.643 0.000 0.000
0.000 3.643 0.000
0.000 0.000 5.219
Ta Cu H Br
1 1 2 1
Cartesian
0.000 0.000 0.000 Ta
0.000 0.000 2.610 Cu
0.000 1.822 2.610 H
1.822 0.000 2.610 H
1.822 1.822 0.000 Br
```

=====

# 7
Starting from a crystal structure in Alexandria, relaxed with GGA-PBE, the XRD peak list of Tl2CuHBr5 was calculated for Cu Kα.

Principal peaks in the range 15 to 90 degrees two-theta, low angle first:
2θ (°)  intensity
19.5  51.0
26.4  35.0
27.7  34.6
28.6  50.4
29.0  100.0
30.6  28.7
31.1  27.6
31.3  28.4
33.2  33.4
37.8  47.9

Crystal structure
```
Tl2CuHBr5
1.0
4.196 0.000 0.000
0.000 14.252 0.000
-1.507 0.000 9.602
Tl Cu H Br
4 2 2 10
Cartesian
-0.017 0.000 1.669 Tl
0.043 9.597 3.170 Tl
2.646 2.471 6.432 Tl
2.706 7.126 7.933 Tl
0.578 10.538 8.596 Cu
2.111 3.412 1.006 Cu
1.346 13.096 4.753 H
1.343 5.970 4.849 H
0.008 4.620 0.715 Br
0.584 9.331 6.507 Br
0.596 4.965 6.565 Br
0.712 13.778 5.928 Br
0.579 1.589 8.994 Br
2.110 8.715 0.607 Br
1.977 6.652 3.674 Br
2.093 12.091 3.037 Br
2.105 2.205 3.095 Br
2.681 11.746 8.887 Br
```

=====

# 8
Starting from a crystal structure in Alexandria, relaxed with GGA-PBE, the XRD peak list of CuHgBr4 was calculated for Cu Kα.

Principal peaks in the range 15 to 90 degrees two-theta, low angle first:
2θ (°)  intensity
16.5  18.8
23.9  31.8
27.4  100.0
29.7  18.9
33.3  15.3
36.0  22.7
37.8  41.7
47.3  41.3
49.0  35.2
76.3  17.1

Crystal structure
```
CuHgBr4
1.0
6.731 0.000 0.000
0.000 6.731 0.000
0.000 0.000 8.931
Cu Hg Br
2 2 8
Cartesian
0.000 3.366 2.233 Cu
3.366 0.000 6.698 Cu
0.000 0.000 0.000 Hg
0.000 0.000 4.466 Hg
1.569 1.802 3.171 Br
1.569 4.929 1.294 Br
1.802 1.569 7.637 Br
1.802 5.162 5.760 Br
4.929 1.569 5.760 Br
4.929 5.162 7.637 Br
5.162 1.802 1.294 Br
5.162 4.929 3.171 Br
```

=====

# 9
Starting from a crystal structure in Alexandria, relaxed with GGA-PBE, the XRD peak list of Cu5HgBr12 was calculated for Cu Kα.

Principal peaks in the range 15 to 90 degrees two-theta, low angle first:
2θ (°)  intensity
26.2  48.6
28.7  100.0
32.1  32.7
32.3  50.2
32.5  30.1
34.0  25.6
36.2  33.7
43.1  33.7
44.5  59.9
50.0  27.2

Crystal structure
```
Cu5HgBr12
1.0
6.244 0.000 0.000
2.857 6.226 0.000
2.173 1.570 13.410
Cu Hg Br
5 1 12
Cartesian
0.000 0.000 0.000 Cu
4.163 3.003 6.631 Cu
5.201 3.649 13.409 Cu
6.073 4.147 0.001 Cu
7.111 4.793 6.779 Cu
1.086 0.785 6.705 Hg
2.173 3.260 5.219 Br
1.123 1.659 1.476 Br
4.080 1.992 11.937 Br
6.076 6.509 8.269 Br
4.156 3.734 1.470 Br
5.365 5.063 5.122 Br
5.909 2.733 8.288 Br
7.118 4.062 11.940 Br
5.198 1.287 5.141 Br
7.194 5.804 1.473 Br
10.151 6.137 11.934 Br
9.101 4.536 8.191 Br
```

=====

# 10
Starting from a crystal structure in Alexandria, relaxed with GGA-PBE, the XRD peak list of Cu2Hg2Br7 was calculated for Cu Kα.

Principal peaks in the range 15 to 90 degrees two-theta, low angle first:
2θ (°)  intensity
17.7  81.5
21.3  100.0
21.5  45.4
25.6  28.3
26.7  35.6
30.4  58.5
31.6  36.8
35.5  22.9
41.6  38.7
46.1  36.9

Crystal structure
```
Cu2Hg2Br7
1.0
5.265 -5.477 0.000
5.265 5.477 0.000
-3.214 0.000 6.450
Cu Hg Br
2 2 7
Cartesian
0.672 0.000 2.569 Cu
6.645 0.000 3.881 Cu
5.265 2.105 0.000 Hg
5.265 -2.105 0.000 Hg
-1.607 0.000 3.225 Br
1.680 1.889 1.411 Br
1.680 -1.889 1.411 Br
2.226 0.000 4.590 Br
5.091 0.000 1.860 Br
5.637 1.889 5.039 Br
5.637 -1.889 5.039 Br
```